Pm3SnSe6: simulated X-ray diffraction stick pattern (λ = 1.5418 Å (Cu Kα)), based on a structure optimized by DFT (PBE).

Crystal structure
Cell: 9.163 9.163 7.152 Å, 90.00 90.00 102.71°
Sites, in units of the cell vectors:
Pm: 0.095 0.905 0.500
Pm: 0.217 0.412 0.593
Pm: 0.412 0.217 0.093
Pm: 0.588 0.783 0.593
Pm: 0.783 0.588 0.093
Pm: 0.905 0.095 0.000
Sn: 0.300 0.700 0.125
Sn: 0.700 0.300 0.625
Se: 0.053 0.594 0.329
Se: 0.130 0.195 0.295
Se: 0.195 0.130 0.795
Se: 0.278 0.722 0.736
Se: 0.406 0.947 0.329
Se: 0.472 0.528 0.301
Se: 0.528 0.472 0.801
Se: 0.594 0.053 0.829
Se: 0.722 0.278 0.236
Se: 0.805 0.870 0.295
Se: 0.870 0.805 0.795
Se: 0.947 0.406 0.829

Largest 6 diffraction maxima, by intensity, 15° ≤ 2θ ≤ 90°:
23.47°, rel. 100; 34.96°, rel. 77; 39.35°, rel. 70; 32.56°, rel. 60; 23.73°, rel. 54; 45.74°, rel. 49